Computed powder diffractogram of Sr2AlGaCo2O7 for Cu Kα, from a crystal structure in Alexandria, relaxed with GGA+U.
Intensities are scaled so that the largest is 100.

The 6 most intense peaks (10 to 90 degrees two-theta), in order of falling intensity:
- hkl 7 1 -1, 2θ = 33.37°, intensity 100
- hkl 0 2 0, 2θ = 32.91°, intensity 48
- hkl 2 0 -2, 2θ = 31.66°, intensity 45
- hkl 3 1 1, 2θ = 27.90°, intensity 43
- hkl 2 2 -2, 2θ = 46.32°, intensity 39
- hkl 10 0 0, 2θ = 40.81°, intensity 24

```
data_Sr2AlGaCo2O7
_chemical_formula_sum 'Sr8 Al4 Ga4 Co8 O28'
_cell_length_a 22.8235
_cell_length_b 5.4424
_cell_length_c 5.6518
_cell_angle_alpha 90.00
_cell_angle_beta 104.34
_cell_angle_gamma 90.00
_space_group_name_H-M_alt 'C 1 2 1'
_space_group_IT_number 5
loop_
_space_group_symop_operation_xyz
'x,y,z'
'-x,y,-z'
'x+1/2,y+1/2,z'
'-x+1/2,y+1/2,-z'
loop_
_atom_site_label
_atom_site_fract_x
_atom_site_fract_y
_atom_site_fract_z
Sr1 0.1496 0.0000 0.1234
Sr2 0.1496 0.4998 0.6753
Al1 0.0000 0.0015 0.0000
Al2 0.0000 0.5007 0.5000
Ga1 0.2499 0.0298 0.6784
Co1 0.0659 0.4989 0.0751
Co2 0.0661 0.9985 0.5563
O1 0.0534 0.1841 0.8793
O2 0.0533 0.6839 0.7268
O3 0.0582 0.3322 0.3920
O4 0.0582 0.8323 0.2236
O5 0.1729 0.4704 0.1258
O6 0.1726 0.9709 0.7187
O7 0.2500 0.3744 0.6213
```